[1]
The following is a theoretical X-ray powder pattern of KNaSr8B6O18. It was derived from DFT lattice parameters and positions (GGA-PBE), using copper Kα.
Peak positions follow from Bragg's law for the DFT cell and can differ from measured ones.

Crystal structure
```
data_KNaSr8B6O18
_cell_length_a 6.935
_cell_length_b 11.162
_cell_length_c 6.936
_cell_angle_alpha 90.00
_cell_angle_beta 119.94
_cell_angle_gamma 90.00
_symmetry_space_group_name_H-M 'P 1 m 1'
_symmetry_Int_Tables_number 6
loop_
_symmetry_equiv_pos_as_xyz
'x,y,z'
'x,-y,z'
loop_
_atom_site_label
_atom_site_fract_x
_atom_site_fract_y
_atom_site_fract_z
_atom_site_occupancy
K1 0.000 0.000 0.000 1
Na1 0.858 0.500 0.662 1
Sr1 0.227 0.281 0.264 1
Sr2 0.365 0.250 0.833 1
Sr3 0.501 0.000 0.545 1
Sr4 0.788 0.500 0.117 1
Sr5 0.797 0.220 0.403 1
B1 0.055 0.000 0.493 1
B2 0.216 0.500 0.583 1
B3 0.395 0.500 0.174 1
B4 0.469 0.000 0.084 1
B5 0.795 0.252 0.832 1
O1 0.092 0.393 0.505 1
O2 0.139 0.108 0.460 1
O3 0.173 0.500 0.116 1
O4 0.427 0.108 0.164 1
O5 0.441 0.500 0.731 1
O6 0.513 0.393 0.209 1
O7 0.538 0.000 0.931 1
O8 0.598 0.224 0.637 1
O9 0.794 0.276 0.029 1
O10 0.886 0.000 0.544 1
O11 0.994 0.254 0.831 1
```

Principal peaks in the range 10° ≤ 2θ ≤ 80°, low angle first:
| (hkl) | d [Å] | intensity |
| --- | --- | --- |
| 0 1 1 | 5.291 | 31 |
| 1 2 1 | 2.946 | 59 |
| 0 1 2 | 2.901 | 30 |
| 0 4 0 | 2.791 | 45 |
| 0 2 2 | 2.646 | 100 |
| 2 0 1 | 2.271 | 46 |
| 1 4 1 | 2.174 | 31 |
| 3 2 -4 | 1.597 | 32 |


[2]
The following is a theoretical X-ray powder pattern of KB3O5. It was derived from DFT lattice parameters and positions (GGA-PBE), using copper Kα.
Peak positions follow from Bragg's law for the DFT cell and can differ from measured ones.

Crystal structure
```
data_KB3O5
_cell_length_a 9.702
_cell_length_b 8.850
_cell_length_c 9.191
_cell_angle_alpha 90.00
_cell_angle_beta 104.15
_cell_angle_gamma 90.00
_symmetry_space_group_name_H-M 'C 1 2/c 1'
_symmetry_Int_Tables_number 15
loop_
_symmetry_equiv_pos_as_xyz
'x,y,z'
'-x,-y,-z'
'-x,y,-z+1/2'
'x,-y,z+1/2'
'x+1/2,y+1/2,z'
'-x+1/2,-y+1/2,-z'
'-x+1/2,y+1/2,-z+1/2'
'x+1/2,-y+1/2,z+1/2'
loop_
_atom_site_label
_atom_site_fract_x
_atom_site_fract_y
_atom_site_fract_z
_atom_site_occupancy
K1 0.078 0.162 0.441 1
B1 0.076 0.458 0.936 1
B2 0.174 0.242 0.818 1
B3 0.208 0.499 0.240 1
O1 0.081 0.486 0.101 1
O2 0.087 0.298 0.905 1
O3 0.166 0.448 0.373 1
O4 0.176 0.088 0.795 1
O5 0.248 0.159 0.247 1
```

Principal peaks in the range 10° ≤ 2θ ≤ 80°, low angle first:
| (hkl) | d [Å] | intensity |
| --- | --- | --- |
| 1 1 0 | 6.446 | 21 |
| 2 2 -1 | 3.208 | 28 |
| 2 0 2 | 2.900 | 100 |
| 1 1 -3 | 2.886 | 29 |
| 1 3 0 | 2.815 | 37 |
| 2 2 -3 | 2.393 | 33 |
| 0 4 1 | 2.147 | 19 |
| 4 2 -1 | 2.126 | 26 |


[3]
The following is a theoretical X-ray powder pattern of KB5O12. It was derived from DFT lattice parameters and positions (GGA-PBE), using copper Kα.
Peak positions follow from Bragg's law for the DFT cell and can differ from measured ones.

Crystal structure
```
data_KB5O12
_cell_length_a 10.834
_cell_length_b 10.344
_cell_length_c 10.055
_cell_angle_alpha 90.00
_cell_angle_beta 90.00
_cell_angle_gamma 90.00
_symmetry_space_group_name_H-M 'A e a 2'
_symmetry_Int_Tables_number 41
loop_
_symmetry_equiv_pos_as_xyz
'x,y,z'
'-x,-y,z'
'-x+1/2,y+1/2,z'
'x+1/2,-y+1/2,z'
'x,y+1/2,z+1/2'
'-x,-y+1/2,z+1/2'
'-x+1/2,y,z+1/2'
'x+1/2,-y,z+1/2'
loop_
_atom_site_label
_atom_site_fract_x
_atom_site_fract_y
_atom_site_fract_z
_atom_site_occupancy
K1 0.000 0.000 0.000 1
B1 0.000 0.000 0.357 1
B2 0.199 0.084 0.284 1
B3 0.200 0.427 0.955 1
O1 0.076 0.415 0.938 1
O2 0.078 0.083 0.265 1
O3 0.111 0.170 0.706 1
O4 0.228 0.363 0.542 1
O5 0.231 0.173 0.694 1
O6 0.232 0.017 0.874 1
```

Principal peaks in the range 10° ≤ 2θ ≤ 80°, low angle first:
| (hkl) | d [Å] | intensity |
| --- | --- | --- |
| 1 1 1 | 6.002 | 38 |
| 0 2 0 | 5.172 | 51 |
| 0 2 2 | 3.605 | 52 |
| 1 2 2 | 3.421 | 100 |
| 1 3 1 | 3.123 | 16 |
| 1 1 3 | 3.059 | 17 |
| 2 2 2 | 3.001 | 11 |
| 3 3 3 | 2.001 | 12 |


[4]
The following is a theoretical X-ray powder pattern of KBP2PbO8. It was derived from DFT lattice parameters and positions (GGA-PBE), using copper Kα.
Peak positions follow from Bragg's law for the DFT cell and can differ from measured ones.

Crystal structure
```
data_KBP2PbO8
_cell_length_a 10.065
_cell_length_b 10.198
_cell_length_c 8.773
_cell_angle_alpha 90.00
_cell_angle_beta 123.06
_cell_angle_gamma 90.00
_symmetry_space_group_name_H-M 'C 1 c 1'
_symmetry_Int_Tables_number 9
loop_
_symmetry_equiv_pos_as_xyz
'x,y,z'
'x,-y,z+1/2'
'x+1/2,y+1/2,z'
'x+1/2,-y+1/2,z+1/2'
loop_
_atom_site_label
_atom_site_fract_x
_atom_site_fract_y
_atom_site_fract_z
_atom_site_occupancy
K1 0.000 0.071 0.000 1
B1 0.070 0.360 0.254 1
P1 0.138 0.423 0.989 1
P2 0.246 0.170 0.513 1
Pb1 0.411 0.191 0.036 1
O1 0.055 0.302 0.869 1
O2 0.055 0.448 0.377 1
O3 0.098 0.444 0.139 1
O4 0.148 0.197 0.595 1
O5 0.202 0.267 0.350 1
O6 0.236 0.029 0.452 1
O7 0.317 0.419 0.075 1
O8 0.423 0.217 0.655 1
```

Principal peaks in the range 10° ≤ 2θ ≤ 80°, low angle first:
| (hkl) | d [Å] | intensity |
| --- | --- | --- |
| 1 1 0 | 6.500 | 42 |
| 1 1 -1 | 6.379 | 100 |
| 2 0 -2 | 4.090 | 91 |
| 0 0 2 | 3.676 | 84 |
| 2 2 -1 | 3.581 | 58 |
| 1 3 0 | 3.153 | 54 |
| 3 1 -1 | 3.135 | 83 |
| 1 1 -3 | 2.698 | 36 |


[5]
The following is a theoretical X-ray powder pattern of KSrBP2O8. It was derived from DFT lattice parameters and positions (GGA-PBE), using copper Kα.
Peak positions follow from Bragg's law for the DFT cell and can differ from measured ones.

Crystal structure
```
data_KSrBP2O8
_cell_length_a 10.076
_cell_length_b 10.044
_cell_length_c 8.724
_cell_angle_alpha 90.00
_cell_angle_beta 123.08
_cell_angle_gamma 90.00
_symmetry_space_group_name_H-M 'C 1 c 1'
_symmetry_Int_Tables_number 9
loop_
_symmetry_equiv_pos_as_xyz
'x,y,z'
'x,-y,z+1/2'
'x+1/2,y+1/2,z'
'x+1/2,-y+1/2,z+1/2'
loop_
_atom_site_label
_atom_site_fract_x
_atom_site_fract_y
_atom_site_fract_z
_atom_site_occupancy
K1 0.000 0.071 0.000 1
Sr1 0.403 0.185 0.022 1
B1 0.074 0.360 0.260 1
P1 0.144 0.422 0.997 1
P2 0.252 0.168 0.519 1
O1 0.057 0.447 0.384 1
O2 0.066 0.299 0.878 1
O3 0.102 0.446 0.145 1
O4 0.152 0.195 0.600 1
O5 0.206 0.265 0.353 1
O6 0.247 0.025 0.462 1
O7 0.322 0.422 0.083 1
O8 0.427 0.219 0.662 1
```

Principal peaks in the range 10° ≤ 2θ ≤ 80°, low angle first:
| (hkl) | d [Å] | intensity |
| --- | --- | --- |
| 1 1 0 | 6.463 | 35 |
| 0 0 2 | 3.655 | 100 |
| 2 2 -1 | 3.555 | 66 |
| 3 1 -1 | 3.134 | 48 |
| 1 3 0 | 3.112 | 43 |
| 1 3 -1 | 3.092 | 48 |
| 1 1 -3 | 2.678 | 34 |
| 2 2 1 | 2.583 | 40 |